This entry pairs a crystal structure of Tb7DyY5 with its calculated powder diffractogram. Radiation: Cu Kα X-rays. Structure: a cell relaxed with PBE.
Kinematic intensities with the Lorentz-polarization factor, no thermal factor.

Cell and atoms:
Cell: 8.721 8.721 8.721 Å, 134.73 100.03 97.01°
Fractional positions:
Tb: 0.000 0.000 0.000
Tb: 0.077 0.750 0.328
Tb: 0.304 0.304 0.000
Tb: 0.422 0.750 0.672
Tb: 0.499 0.999 0.500
Tb: 0.580 0.251 0.329
Tb: 0.922 0.251 0.671
Dy: 0.696 0.696 0.000
Y: 0.001 0.501 0.500
Y: 0.275 0.268 0.542
Y: 0.275 0.733 0.007
Y: 0.726 0.268 0.993
Y: 0.726 0.733 0.458

Peak list (8 most intense, 2θ = 10–90°, by intensity)
2θ/deg	I/Imax
31.48	1000
34.80	650
30.95	582
27.32	521
26.56	397
30.81	375
57.57	300
31.17	298

This entry pairs a crystal structure of TbDy2Y5 with its calculated powder diffractogram. Radiation: Cu Kα X-rays. Structure: a cell relaxed with PBE.
Kinematic intensities with the Lorentz-polarization factor, no thermal factor.

Cell and atoms:
Cell: 6.582 6.582 15.819 Å, 90.00 90.00 130.22°
Fractional positions:
Tb: 0.231 0.769 0.750
Tb: 0.769 0.231 0.250
Dy: 0.281 0.719 0.131
Dy: 0.281 0.719 0.369
Dy: 0.719 0.281 0.631
Dy: 0.719 0.281 0.869
Y: 0.042 0.958 0.250
Y: 0.120 0.880 0.548
Y: 0.120 0.880 0.952
Y: 0.422 0.578 0.594
Y: 0.422 0.578 0.906
Y: 0.578 0.422 0.094
Y: 0.578 0.422 0.406
Y: 0.880 0.120 0.048
Y: 0.880 0.120 0.452
Y: 0.958 0.042 0.750

Peak list (8 most intense, 2θ = 10–90°, by intensity)
2θ/deg	I/Imax
32.49	1000
33.47	584
32.31	493
28.72	332
14.84	236
57.74	219
30.47	213
32.04	166

Question: Number 1 is which compound?
Answer: Tb7DyY5